No. 1
Theoretical powder XRD pattern of DyY2Er2Tm2Ni2Se2 for λ = 1.5418 Å (Cu Kα), from a structure optimized by DFT (GGA-PBE).
Kinematic intensities with the Lorentz-polarization factor, no thermal factor.

Cell and atoms:
Lattice parameters (Å, degrees): 3.793 15.037 9.250 90.00 90.00 90.00
Space group Imm2 (No. 44)
Inequivalent atoms, fractional coordinates:
1 Dy 0.000 0.000 0.000 (multiplicity 2)
2 Y 0.000 0.359 0.257 (multiplicity 4)
3 Er 0.000 0.126 0.412 (multiplicity 4)
4 Tm 0.000 0.317 0.616 (multiplicity 4)
5 Ni 0.000 0.240 0.926 (multiplicity 4)
6 Se 0.000 0.000 0.659 (multiplicity 2)
7 Se 0.000 0.500 0.758 (multiplicity 2)

Top 10 peaks for 2θ = 10–80°, in order of falling intensity:
- d 2.565, 2θ = 34.98°, I = 100, (1 4 1)
- d 2.626, 2θ = 34.14°, I = 66, (0 3 3)
- d 2.531, 2θ = 35.46°, I = 64, (1 3 2)
- d 2.879, 2θ = 31.07°, I = 57, (1 1 2)
- d 3.022, 2θ = 29.56°, I = 42, (0 1 3)
- d 2.860, 2θ = 31.28°, I = 38, (0 5 1)
- d 1.897, 2θ = 47.97°, I = 30, (2 0 0)
- d 1.538, 2θ = 60.19°, I = 26, (2 3 3)
- d 2.280, 2θ = 39.53°, I = 22, (1 2 3)
- d 2.393, 2θ = 37.59°, I = 20, (1 0 3)


No. 2
Theoretical powder XRD pattern of GdDyCd6 for λ = 1.5418 Å (Cu Kα), from a structure optimized by DFT (GGA-PBE).
Kinematic intensities with the Lorentz-polarization factor, no thermal factor.

Cell and atoms:
Lattice parameters (Å, degrees): 6.5978 6.5978 4.9864 90.00 90.00 120.00
Space group P-6m2 (No. 187)
Inequivalent atoms, fractional coordinates:
1 Gd 0.0000 0.0000 0.0000 (multiplicity 1)
2 Dy 0.6667 0.3333 0.5000 (multiplicity 1)
3 Cd 0.0077 0.5038 0.0000 (multiplicity 3)
4 Cd 0.1715 0.3430 0.5000 (multiplicity 3)

Top 10 peaks for 2θ = 10–80°, in order of falling intensity:
- d 2.479, 2θ = 36.24°, I = 100, (2 0 1)
- d 2.857, 2θ = 31.31°, I = 25, (2 0 0)
- d 2.493, 2θ = 36.02°, I = 23, (0 0 2)
- d 1.376, 2θ = 68.17°, I = 20, (2 2 2)
- d 1.649, 2θ = 55.73°, I = 18, (2 2 0)
- d 1.437, 2θ = 64.90°, I = 17, (2 0 3)
- d 1.373, 2θ = 68.30°, I = 15, (4 0 1)
- d 1.878, 2θ = 48.46°, I = 14, (2 0 2)
- d 1.239, 2θ = 76.92°, I = 3, (4 0 2)
- d 3.757, 2θ = 23.68°, I = 3, (1 0 1)


No. 3
Theoretical powder XRD pattern of Sr2AgAu for λ = 1.5418 Å (Cu Kα), from a structure optimized by DFT (GGA-PBE).
Kinematic intensities with the Lorentz-polarization factor, no thermal factor.

Cell and atoms:
Lattice parameters (Å, degrees): 4.811 4.281 11.765 90.00 90.00 90.00
Space group Amm2 (No. 38)
Inequivalent atoms, fractional coordinates:
1 Sr 0.000 0.000 0.000 (multiplicity 2)
2 Sr 0.500 0.000 0.279 (multiplicity 2)
3 Ag 0.500 0.000 0.564 (multiplicity 2)
4 Au 0.000 0.000 0.717 (multiplicity 2)

Top 10 peaks for 2θ = 10–80°, in order of falling intensity:
- d 2.478, 2θ = 36.25°, I = 100, (1 1 3)
- d 3.086, 2θ = 28.93°, I = 97, (1 1 1)
- d 2.509, 2θ = 35.78°, I = 42, (1 0 4)
- d 2.406, 2θ = 37.38°, I = 35, (2 0 0)
- d 5.882, 2θ = 15.06°, I = 34, (0 0 2)
- d 4.023, 2θ = 22.10°, I = 31, (0 1 1)
- d 2.140, 2θ = 42.22°, I = 25, (0 2 0)
- d 1.565, 2θ = 59.04°, I = 23, (0 1 7)
- d 1.628, 2θ = 56.51°, I = 22, (1 2 4)
- d 2.892, 2θ = 30.93°, I = 22, (0 1 3)